Entry 1:
The following is a theoretical PXRD pattern of NaAg4Cl5. It was derived from a cell relaxed with GGA-PBE, using Cu Kα (weighted mean of Kα1 and Kα2).
No peak broadening, texture or thermal motion is included.

Most intense lines, 15° ≤ 2θ ≤ 90°, low angle first:
23.7 deg, d 3.761, rel. 83
25.9 deg, d 3.441, rel. 59
27.0 deg, d 3.300, rel. 100
35.4 deg, d 2.539, rel. 37
41.6 deg, d 2.171, rel. 68
46.4 deg, d 1.958, rel. 57
49.6 deg, d 1.836, rel. 51
79.3 deg, d 1.208, rel. 22

Structural model:
```
20
Lattice="4.343 0.000 0.000 -2.171 3.761 0.000 0.000 0.000 34.411" Properties=species:S:1:pos:R:3 pbc="T T T"
Na 0.000 0.000 0.000
Na 0.000 0.000 6.966
Ag 0.000 0.000 13.866
Ag 0.000 0.000 20.687
Ag 0.000 0.000 27.506
Ag 0.000 2.507 3.453
Ag 0.000 2.507 10.430
Ag 0.000 2.507 17.281
Ag 0.000 2.507 24.097
Ag 0.000 2.507 30.923
Cl 0.000 0.000 4.252
Cl 0.000 0.000 11.227
Cl 0.000 0.000 18.039
Cl 0.000 0.000 24.854
Cl 0.000 0.000 31.685
Cl 0.000 2.507 0.833
Cl 0.000 2.507 7.816
Cl 0.000 2.507 14.634
Cl 0.000 2.507 21.445
Cl 0.000 2.507 28.271
```

Entry 2:
The following is a theoretical PXRD pattern of NaAg5Cl12. It was derived from a cell relaxed with GGA-PBE, using Cu Kα (weighted mean of Kα1 and Kα2).
No peak broadening, texture or thermal motion is included.

Most intense lines, 15° ≤ 2θ ≤ 90°, low angle first:
23.7 deg, d 3.758, rel. 100
24.8 deg, d 3.593, rel. 88
26.5 deg, d 3.370, rel. 54
33.0 deg, d 2.711, rel. 53
33.5 deg, d 2.671, rel. 54
36.7 deg, d 2.450, rel. 55
37.3 deg, d 2.411, rel. 56
42.9 deg, d 2.109, rel. 71

Structural model:
```
18
Lattice="6.728 0.000 0.000 2.286 6.333 0.000 1.866 0.164 12.065" Properties=species:S:1:pos:R:3 pbc="T T T"
Na 0.000 0.000 0.000
Ag 3.573 4.309 6.052
Ag 4.861 2.265 12.064
Ag 4.297 0.082 6.033
Ag 6.019 4.231 0.001
Ag 7.307 2.188 6.013
Cl 3.013 2.131 10.579
Cl 2.600 2.534 4.621
Cl 4.571 6.086 7.465
Cl 2.241 0.407 1.484
Cl 5.849 4.076 10.742
Cl 5.568 4.639 4.625
Cl 5.312 1.857 7.441
Cl 5.030 2.421 1.323
Cl 8.639 6.089 10.582
Cl 6.309 0.411 4.600
Cl 8.280 3.962 7.444
Cl 7.867 4.366 1.486
```

Entry 3:
The following is a theoretical PXRD pattern of NaAg2Cl8. It was derived from a cell relaxed with GGA-PBE, using Cu Kα (weighted mean of Kα1 and Kα2).
No peak broadening, texture or thermal motion is included.

Most intense lines, 15° ≤ 2θ ≤ 90°, low angle first:
17.7 deg, d 5.004, rel. 100
22.8 deg, d 3.904, rel. 88
29.1 deg, d 3.073, rel. 71
35.6 deg, d 2.519, rel. 24
35.9 deg, d 2.502, rel. 23
38.5 deg, d 2.341, rel. 56
42.9 deg, d 2.107, rel. 35
50.2 deg, d 1.819, rel. 36

Structural model:
```
11
Lattice="-3.539 3.539 6.241 3.539 -3.539 6.241 3.539 3.539 -6.241" Properties=species:S:1:pos:R:3 pbc="T T T"
Na 0.000 0.000 0.000
Ag 3.539 0.000 3.121
Ag 0.000 3.539 3.121
Cl 4.711 1.202 -1.505
Cl 1.202 2.366 -1.505
Cl 2.366 1.202 1.505
Cl 2.337 -1.173 7.746
Cl 2.337 1.173 4.737
Cl -1.173 2.337 4.737
Cl 1.202 4.711 1.505
Cl 1.173 2.337 7.746
```